# Ho2TmCo2B2O3
Theoretical powder X-ray diffraction pattern, Cu Kα, 1.54184 Å. Input: a structure optimized by DFT (GGA+U).
Lines closer than 0.1° are merged.

Largest 10 diffraction maxima, low angle first, 2θ from 5° to 70°:
2θ (°)	I_rel
29.27	100
33.93	65
37.57	30
38.56	19
41.41	18
45.83	33
54.18	25
54.94	26
62.77	25
65.48	30

Structural model:
```
Ho2TmCo2B2O3
1.0
-1.6929 1.6929 10.5681
1.6929 -1.6929 10.5681
1.6929 1.6929 -10.5681
Ho Tm Co B O
2 1 2 2 3
direct
0.1369 0.1369 0.0000
0.8631 0.8631 0.0000
0.5000 0.5000 0.0000
0.2500 0.7500 0.5000
0.7500 0.2500 0.5000
0.2912 0.2912 0.0000
0.7088 0.7088 0.0000
0.0000 0.0000 0.0000
0.3983 0.3983 0.0000
0.6017 0.6017 0.0000
```